The following is a computed PXRD pattern of NiPdCl5. It was derived from a crystal structure in Alexandria, relaxed with GGA-PBE, using CuKα.
Lines closer than 0.1° are merged.

Structure:
Lattice parameters (Å, degrees): 6.225 6.225 9.302 106.17 106.17 82.18
Positions (direct):
1 Ni 0.054 0.946 0.750
2 Ni 0.946 0.054 0.250
3 Pd 0.000 0.500 0.000
4 Pd 0.500 0.000 0.500
5 Cl 0.170 0.630 0.846
6 Cl 0.180 0.248 0.476
7 Cl 0.234 0.766 0.250
8 Cl 0.248 0.180 0.976
9 Cl 0.370 0.830 0.654
10 Cl 0.630 0.170 0.346
11 Cl 0.752 0.820 0.024
12 Cl 0.766 0.234 0.750
13 Cl 0.820 0.752 0.524
14 Cl 0.830 0.370 0.154

The 6 most intense peaks (2θ from 5° to 70°), by angle:
Position (°2θ)	I_rel
14.85	48
15.77	52
20.11	100
23.01	80
34.19	61
34.88	49